For La2MgCo2Sb2Pb2O12, a crystal structure in Alexandria, relaxed with PBE+U gives the computed XRD peak list in this record (a wavelength of 1.5418 Å).
Intensities are scaled so that the largest is 100.

Most intense lines, 2θ from 10° to 90°, low angle first:
2θ 27.40, intensity 59, hkl 0 2 0
2θ 27.66, intensity 75, hkl 1 1 -2
2θ 28.23, intensity 75, hkl 1 -1 2
2θ 30.13, intensity 83, hkl -1 1 2
2θ 30.95, intensity 92, hkl 2 0 0
2θ 31.67, intensity 100, hkl 1 1 2

Lattice parameters (Å, degrees): 5.787 6.584 8.616 98.38 92.41 91.61
Space group P1 (No. 1)
Inequivalent atoms, fractional coordinates:
La (0.000, 0.000, 0.000)
La (0.467, 0.663, 0.564)
Mg (0.505, 0.335, 0.215)
Co (0.438, 0.917, 0.299)
Co (0.952, 0.571, 0.756)
Sb (0.541, 0.152, 0.751)
Sb (0.969, 0.575, 0.297)
Pb (0.006, 0.178, 0.498)
Pb (0.441, 0.635, 0.961)
O (0.029, 0.673, 0.094)
O (0.159, 0.824, 0.403)
O (0.204, 0.786, 0.801)
O (0.254, 0.421, 0.353)
O (0.364, 0.393, 0.704)
O (0.380, 0.055, 0.121)
O (0.584, 0.034, 0.524)
O (0.633, 0.664, 0.283)
O (0.714, 0.780, 0.821)
O (0.841, 0.287, 0.208)
O (0.859, 0.525, 0.519)
O (0.863, 0.274, 0.793)